# 1
Diffraction record for PaNbReMo. The X-ray diffraction stick pattern is simulated, not measured: it uses a PBE-relaxed structure and Cu Kα.
Neutral-atom scattering factors, no anomalous dispersion.

Cell: 6.6589 6.6589 6.6589 Å, 90.00 90.00 90.00°
Space group F-43m (No. 216)
One atom of each set of equivalent atoms:
Pa1 0.0000 0.0000 0.0000 [4 per cell]
Nb1 0.0000 0.0000 0.5000 [4 per cell]
Re1 0.2500 0.2500 0.7500 [4 per cell]
Mo1 0.2500 0.2500 0.2500 [4 per cell]

Most intense lines, 2θ = 10–90°, by angle:
two_theta	d/Å	I/Imax	(hkl)
23.14	3.845	15	1 1 1
38.23	2.354	100	2 2 0
45.16	2.008	9	3 1 1
55.17	1.665	17	4 0 0
69.11	1.359	35	4 2 2
81.83	1.177	11	4 4 0

# 2
Diffraction record for Li5In4Rh2. The X-ray diffraction stick pattern is simulated, not measured: it uses a PBE-relaxed structure and Cu Kα.
Neutral-atom scattering factors, no anomalous dispersion.

Cell: 19.6220 3.0872 7.0478 Å, 90.00 98.17 90.00°
Space group C2/m (No. 12)
One atom of each set of equivalent atoms:
Li1 0.0000 0.0000 0.0000 [2 per cell]
Li2 0.1722 0.5000 0.4304 [4 per cell]
Li3 0.2132 0.5000 0.8340 [4 per cell]
In1 0.0618 0.5000 0.6911 [4 per cell]
In2 0.1412 0.0000 0.0907 [4 per cell]
Rh1 0.0572 0.0000 0.3632 [4 per cell]

Most intense lines, 2θ = 10–90°, by angle:
two_theta	d/Å	I/Imax	(hkl)
16.67	5.319	68	2 0 1
20.75	4.281	46	4 0 -1
31.77	2.817	39	1 1 -1
35.41	2.535	100	3 1 1
38.51	2.338	52	2 0 -3
43.63	2.074	61	5 1 -2

# 3
Diffraction record for K3AcAs2O8. The X-ray diffraction stick pattern is simulated, not measured: it uses a PBE-relaxed structure and Cu Kα.
Neutral-atom scattering factors, no anomalous dispersion.

Cell: 6.1579 6.1579 8.0221 Å, 90.00 90.00 120.00°
Space group P-3m1 (No. 164)
One atom of each set of equivalent atoms:
K1 0.0000 0.0000 0.0000 [1 per cell]
K2 0.3333 0.6667 0.7100 [2 per cell]
Ac1 0.0000 0.0000 0.5000 [1 per cell]
As1 0.3333 0.6667 0.2304 [2 per cell]
O1 0.1824 0.3648 0.3129 [6 per cell]
O2 0.3333 0.6667 0.0212 [2 per cell]

Most intense lines, 2θ = 10–90°, by angle:
two_theta	d/Å	I/Imax	(hkl)
11.03	8.022	36	0 0 1
19.99	4.441	86	1 0 1
27.83	3.206	100	0 1 2
29.00	3.079	90	1 1 0
40.63	2.221	48	2 0 2
50.69	1.801	35	1 2 2

# 4
Diffraction record for Cs2Tl4Pt3. The X-ray diffraction stick pattern is simulated, not measured: it uses a PBE-relaxed structure and Cu Kα.
Neutral-atom scattering factors, no anomalous dispersion.

Cell: 7.1475 12.8883 12.5278 Å, 90.00 90.00 90.00°
Space group Ibam (No. 72)
One atom of each set of equivalent atoms:
Cs1 0.2072 0.1331 0.0000 [8 per cell]
Tl1 0.1870 0.3874 0.1626 [16 per cell]
Pt1 0.0000 0.0000 0.2500 [4 per cell]
Pt2 0.0000 0.2139 0.2500 [8 per cell]

Most intense lines, 2θ = 10–90°, by angle:
two_theta	d/Å	I/Imax	(hkl)
14.14	6.263	62	0 0 2
28.36	3.147	100	1 2 3
31.97	2.799	20	1 1 4
37.59	2.393	35	2 4 0
39.87	2.261	21	1 5 2
52.20	1.752	24	0 4 6

# 5
Diffraction record for Ac5Nd5Sm2. The X-ray diffraction stick pattern is simulated, not measured: it uses a PBE-relaxed structure and Cu Kα.
Neutral-atom scattering factors, no anomalous dispersion.

Cell: 18.1348 5.9907 10.4324 Å, 90.00 124.87 90.00°
Space group C2/m (No. 12)
One atom of each set of equivalent atoms:
Ac1 0.0000 0.0000 0.0000 [2 per cell]
Ac2 0.1220 0.0000 0.4594 [4 per cell]
Ac3 0.2483 0.5000 0.7549 [4 per cell]
Nd1 0.0000 0.5000 0.5000 [2 per cell]
Nd2 0.1225 0.5000 0.2833 [4 per cell]
Nd3 0.1236 0.5000 0.9537 [4 per cell]
Sm1 0.1256 0.0000 0.7980 [4 per cell]

Most intense lines, 2θ = 10–90°, by angle:
two_theta	d/Å	I/Imax	(hkl)
29.48	3.030	72	2 0 2
29.56	3.022	73	5 1 -1
29.71	3.007	100	3 1 -3
29.83	2.995	50	0 2 0
42.44	2.130	46	8 0 -4
58.43	1.580	30	8 2 0

# 6
Diffraction record for Mg2Mn3NiS8. The X-ray diffraction stick pattern is simulated, not measured: it uses a PBE-relaxed structure and Cu Kα.
Neutral-atom scattering factors, no anomalous dispersion.

Cell: 7.1761 7.1761 17.6080 Å, 90.00 90.00 120.00°
Space group R-3m (No. 166, hexagonal axes)
One atom of each set of equivalent atoms:
Mg1 0.0000 0.0000 0.1205 [6 per cell]
Mn1 0.0000 0.5000 0.0000 [9 per cell]
Ni1 0.0000 0.0000 0.5000 [3 per cell]
S1 0.0000 0.0000 0.2592 [6 per cell]
S2 0.0401 0.5200 0.2550 [18 per cell]

Most intense lines, 2θ = 10–90°, by angle:
two_theta	d/Å	I/Imax	(hkl)
15.11	5.862	84	1 0 1
29.17	3.062	74	1 1 3
35.36	2.539	100	0 2 4
46.47	1.954	50	0 3 3
50.87	1.795	93	2 0 8
85.54	1.135	20	2 2 12

# 7
Diffraction record for Mg2CuB2Ir5. The X-ray diffraction stick pattern is simulated, not measured: it uses a PBE-relaxed structure and Cu Kα.
Neutral-atom scattering factors, no anomalous dispersion.

Cell: 9.4562 9.4562 2.9221 Å, 90.00 90.00 90.00°
Space group P4/mbm (No. 127)
One atom of each set of equivalent atoms:
Mg1 0.1770 0.3230 0.0000 [4 per cell]
Cu1 0.0000 0.0000 0.0000 [2 per cell]
B1 0.1276 0.6276 0.0000 [4 per cell]
Ir1 0.0000 0.5000 0.5000 [2 per cell]
Ir2 0.0694 0.7851 0.5000 [8 per cell]

Most intense lines, 2θ = 10–90°, by angle:
two_theta	d/Å	I/Imax	(hkl)
30.59	2.922	91	0 0 1
34.19	2.623	56	3 2 0
39.28	2.293	81	4 1 0
43.29	2.090	100	3 1 1
46.53	1.952	58	3 2 1
50.59	1.804	56	4 1 1

# 8
Diffraction record for Tl16Cd12Sn. The X-ray diffraction stick pattern is simulated, not measured: it uses a PBE-relaxed structure and Cu Kα.
Neutral-atom scattering factors, no anomalous dispersion.

Cell: 11.7388 16.4950 10.2076 Å, 90.00 124.98 90.00°
Space group Cm (No. 8)
One atom of each set of equivalent atoms:
Tl1 0.0000 0.0000 0.0000 [2 per cell]
Tl2 0.0026 0.0000 0.6516 [2 per cell]
Tl3 0.0561 0.3439 0.0468 [4 per cell]
Tl4 0.1513 0.5000 0.3081 [2 per cell]
Tl5 0.1613 0.1614 0.2556 [4 per cell]
Tl6 0.1826 0.1797 0.6509 [4 per cell]
Tl7 0.1915 0.5000 0.9552 [2 per cell]
Tl8 0.3045 0.3022 0.9743 [4 per cell]
Tl9 0.4663 0.1335 0.6493 [4 per cell]
Tl10 0.4896 0.1917 0.3334 [4 per cell]
Cd1 0.0028 0.1865 0.8362 [4 per cell]
Cd2 0.1908 0.0000 0.4637 [2 per cell]
Cd3 0.2305 0.4100 0.6528 [4 per cell]
Cd4 0.2682 0.0939 0.0084 [4 per cell]
Cd5 0.3283 0.3149 0.4736 [4 per cell]
Cd6 0.3617 0.0000 0.8237 [2 per cell]
Cd7 0.4154 0.4064 0.2951 [4 per cell]
Sn1 0.3767 0.0000 0.3331 [2 per cell]

Most intense lines, 2θ = 10–90°, by angle:
two_theta	d/Å	I/Imax	(hkl)
32.11	2.788	18	0 0 3
32.25	2.776	52	1 3 -3
32.35	2.767	100	3 3 0
32.44	2.760	49	1 5 -2
36.03	2.493	18	3 5 -1
57.74	1.597	15	2 8 2

Which formula does entry 3 have?
K3AcAs2O8